The following is a simulated X-ray diffraction stick pattern of MgCr2Fe3NiP6O24. It was derived from the GGA+U geometry in the Materials Project, using Cu Ka.
Intensities are scaled so that the largest is 100.

Peak list (6 most intense, 2θ from 10° to 90°, in order of falling intensity)
two_theta	d/Å	I (rel.)	h k l
20.41	4.350	100.0	0 1 -1
32.64	2.744	40.6	1 2 3
23.86	3.729	38.1	0 2 1
35.72	2.514	37.9	1 -2 1
24.55	3.626	34.8	2 0 1
33.67	2.662	30.7	3 1 2

Crystal structure
```
data_MgCr2Fe3NiP6O24
_cell_length_a 8.3862
_cell_length_b 8.6121
_cell_length_c 8.6149
_cell_angle_alpha 60.79
_cell_angle_beta 61.47
_cell_angle_gamma 61.53
_symmetry_space_group_name_H-M 'P 1'
_symmetry_Int_Tables_number 1
_symmetry_space_group_name_Hall 'P 1'
loop_
_atom_site_label
_atom_site_fract_x
_atom_site_fract_y
_atom_site_fract_z
Mg1 0.0000 0.0000 0.0000
Cr1 0.2528 0.6269 0.8656
Cr2 0.7397 0.1382 0.3775
Fe1 0.1040 0.4916 0.7163
Fe2 0.5960 0.9835 0.2264
Fe3 0.8901 0.2801 0.5104
Ni1 0.3961 0.7727 0.0213
P1 0.0007 0.6707 0.3186
P2 0.1863 0.1819 0.1135
P3 0.2923 0.0917 0.6076
P4 0.4951 0.5911 0.4207
P5 0.7053 0.3880 0.9066
P6 0.8043 0.8846 0.8294
O1 0.0031 0.7211 0.8117
O2 0.0655 0.6334 0.4740
O3 0.1487 0.1370 0.5207
O4 0.1555 0.6984 0.1118
O5 0.1903 0.0434 0.0459
O6 0.1912 0.3793 0.9551
O7 0.2453 0.2444 0.6798
O8 0.2745 0.9022 0.7834
O9 0.3328 0.5831 0.6207
O10 0.3629 0.1095 0.1700
O11 0.4219 0.6287 0.2726
O12 0.4990 0.0610 0.4642
O13 0.5008 0.5340 0.9229
O14 0.5693 0.7438 0.3790
O15 0.6359 0.8249 0.8929
O16 0.6447 0.3927 0.4533
O17 0.7105 0.2154 0.0967
O18 0.7704 0.3100 0.7537
O19 0.7957 0.9492 0.9753
O20 0.8177 0.0394 0.6331
O21 0.8512 0.4692 0.8715
O22 0.8540 0.8758 0.2848
O23 0.9328 0.5202 0.3531
O24 0.9905 0.2094 0.2726
```